[1]
For TlCd2Ni, the GGA-PBE geometry in Alexandria gives the calculated PXRD pattern in this record (λ = 1.5418 Å (Cu Kα)).
Neutral-atom scattering factors, no anomalous dispersion.

Structure:
Cell: 3.3074 3.3074 26.7546 Å, 90.00 90.00 120.00°
Space group R3m (No. 160, hexagonal axes)
One atom of each set of equivalent atoms:
Tl1 0.0000 0.0000 0.0000 [3 per cell]
Cd1 0.0000 0.0000 0.5241 [3 per cell]
Cd2 0.0000 0.0000 0.7631 [3 per cell]
Ni1 0.0000 0.0000 0.2607 [3 per cell]

Largest 8 diffraction maxima, by angle, 15° ≤ 2θ ≤ 90°:
hkl 0 0 9, d = 2.973 Å, 30.1 deg, I = 13
hkl 1 0 4, d = 2.633 Å, 34.0 deg, I = 100
hkl 0 1 5, d = 2.525 Å, 35.6 deg, I = 13
hkl 0 1 8, d = 2.175 Å, 41.5 deg, I = 48
hkl 1 1 0, d = 1.654 Å, 55.6 deg, I = 25
hkl 1 0 16, d = 1.445 Å, 64.5 deg, I = 15
hkl 0 2 4, d = 1.400 Å, 66.8 deg, I = 14
hkl 1 1 12, d = 1.328 Å, 71.0 deg, I = 14

[2]
For Tl4Cd2Ni, the GGA-PBE geometry in Alexandria gives the calculated PXRD pattern in this record (λ = 1.5418 Å (Cu Kα)).
Neutral-atom scattering factors, no anomalous dispersion.

Structure:
Cell: 5.1222 5.1222 15.8304 Å, 90.00 90.00 90.00°
Space group I4/mmm (No. 139)
One atom of each set of equivalent atoms:
Tl1 0.0000 0.0000 0.1689 [4 per cell]
Tl2 0.0000 0.5000 0.0000 [4 per cell]
Cd1 0.0000 0.0000 0.3591 [4 per cell]
Ni1 0.0000 0.0000 0.0000 [2 per cell]

Largest 8 diffraction maxima, by angle, 15° ≤ 2θ ≤ 90°:
hkl 1 1 2, d = 3.293 Å, 27.1 deg, I = 100
hkl 1 1 4, d = 2.672 Å, 33.5 deg, I = 88
hkl 0 0 6, d = 2.638 Å, 34.0 deg, I = 40
hkl 2 0 0, d = 2.561 Å, 35.0 deg, I = 89
hkl 2 0 6, d = 1.838 Å, 49.6 deg, I = 55
hkl 2 2 0, d = 1.811 Å, 50.4 deg, I = 32
hkl 3 1 4, d = 1.499 Å, 61.9 deg, I = 31
hkl 2 2 6, d = 1.493 Å, 62.2 deg, I = 28

[3]
For TmCd3Ni8, the GGA-PBE geometry in Alexandria gives the calculated PXRD pattern in this record (λ = 1.5418 Å (Cu Kα)).
Neutral-atom scattering factors, no anomalous dispersion.

Structure:
Cell: 4.9295 4.9295 24.0952 Å, 90.00 90.00 120.00°
Space group R3m (No. 160, hexagonal axes)
One atom of each set of equivalent atoms:
Tm1 0.0000 0.0000 0.0000 [3 per cell]
Cd1 0.0000 0.0000 0.3788 [3 per cell]
Cd2 0.0000 0.0000 0.5017 [3 per cell]
Cd3 0.0000 0.0000 0.8732 [3 per cell]
Ni1 0.0000 0.0000 0.1882 [3 per cell]
Ni2 0.0000 0.0000 0.6882 [3 per cell]
Ni3 0.0003 0.5002 0.9380 [9 per cell]
Ni4 0.0007 0.5004 0.4382 [9 per cell]

Largest 8 diffraction maxima, by angle, 15° ≤ 2θ ≤ 90°:
hkl 0 1 2, d = 4.022 Å, 22.1 deg, I = 5
hkl 1 1 0, d = 2.463 Å, 36.5 deg, I = 54
hkl 2 0 2, d = 2.100 Å, 43.1 deg, I = 100
hkl 0 2 4, d = 2.011 Å, 45.1 deg, I = 20
hkl 3 0 0, d = 1.423 Å, 65.6 deg, I = 14
hkl 2 1 10, d = 1.341 Å, 70.2 deg, I = 27
hkl 2 2 0, d = 1.232 Å, 77.4 deg, I = 11
hkl 0 2 16, d = 1.231 Å, 77.6 deg, I = 11

[4]
For UCdNi, the GGA-PBE geometry in Alexandria gives the calculated PXRD pattern in this record (λ = 1.5418 Å (Cu Kα)).
Neutral-atom scattering factors, no anomalous dispersion.

Structure:
Cell: 3.1515 3.1535 12.6381 Å, 86.53 86.72 63.47°
Space group P1 (No. 1)
One atom of each set of equivalent atoms:
U1 0.0000 0.0000 0.0000 [1 per cell]
U2 0.4774 0.4698 0.1630 [1 per cell]
Cd1 0.1198 0.1080 0.4790 [1 per cell]
Cd2 0.7432 0.7470 0.6837 [1 per cell]
Ni1 0.3717 0.3745 0.8471 [1 per cell]
Ni2 0.8031 0.7931 0.3161 [1 per cell]

Largest 8 diffraction maxima, by angle, 15° ≤ 2θ ≤ 90°:
hkl 1 1 1, d = 2.654 Å, 33.8 deg, I = 40
hkl 1 0 2, d = 2.609 Å, 34.4 deg, I = 100
hkl 1 1 -1, d = 2.580 Å, 34.8 deg, I = 61
hkl 0 1 -2, d = 2.539 Å, 35.4 deg, I = 96
hkl 0 1 3, d = 2.385 Å, 37.7 deg, I = 44
hkl 1 0 3, d = 2.378 Å, 37.8 deg, I = 44
hkl 1 0 -3, d = 2.302 Å, 39.1 deg, I = 90
hkl 0 0 6, d = 2.101 Å, 43.0 deg, I = 61

[5]
For VCdNi, the GGA-PBE geometry in Alexandria gives the calculated PXRD pattern in this record (λ = 1.5418 Å (Cu Kα)).
Neutral-atom scattering factors, no anomalous dispersion.

Structure:
Cell: 4.1390 10.2961 4.2008 Å, 90.00 90.00 90.00°
Space group Cmcm (No. 63)
One atom of each set of equivalent atoms:
V1 0.0000 0.0456 0.2500 [4 per cell]
Cd1 0.0000 0.2511 0.7500 [4 per cell]
Ni1 0.0000 0.4282 0.2500 [4 per cell]

Largest 8 diffraction maxima, by angle, 15° ≤ 2θ ≤ 90°:
hkl 1 1 1, d = 2.834 Å, 31.6 deg, I = 22
hkl 0 4 0, d = 2.574 Å, 34.9 deg, I = 12
hkl 1 3 1, d = 2.236 Å, 40.3 deg, I = 100
hkl 0 0 2, d = 2.100 Å, 43.1 deg, I = 23
hkl 2 0 0, d = 2.069 Å, 43.7 deg, I = 22
hkl 2 0 2, d = 1.474 Å, 63.1 deg, I = 14
hkl 1 3 3, d = 1.237 Å, 77.1 deg, I = 13
hkl 3 3 1, d = 1.225 Å, 78.0 deg, I = 13

[6]
For YCd20Ni2, the GGA-PBE geometry in Alexandria gives the calculated PXRD pattern in this record (λ = 1.5418 Å (Cu Kα)).
Neutral-atom scattering factors, no anomalous dispersion.

Structure:
Cell: 15.7378 15.7378 15.7378 Å, 90.00 90.00 90.00°
Space group Fd-3m (No. 227, origin choice 2)
One atom of each set of equivalent atoms:
Y1 0.1250 0.1250 0.1250 [8 per cell]
Cd1 0.0000 0.0000 0.0000 [16 per cell]
Cd2 0.0121 0.3750 0.8750 [48 per cell]
Cd3 0.0600 0.0600 0.3237 [96 per cell]
Ni1 0.0000 0.0000 0.5000 [16 per cell]

Largest 8 diffraction maxima, by angle, 15° ≤ 2θ ≤ 90°:
hkl 5 3 1, d = 2.660 Å, 33.7 deg, I = 100
hkl 6 2 0, d = 2.488 Å, 36.1 deg, I = 34
hkl 5 3 3, d = 2.400 Å, 37.5 deg, I = 67
hkl 6 2 2, d = 2.373 Å, 37.9 deg, I = 73
hkl 4 4 4, d = 2.272 Å, 39.7 deg, I = 26
hkl 7 1 1, d = 2.204 Å, 41.0 deg, I = 34
hkl 6 6 0, d = 1.855 Å, 49.1 deg, I = 20
hkl 8 8 0, d = 1.391 Å, 67.3 deg, I = 46

[7]
For Y5CdNi, the GGA-PBE geometry in Alexandria gives the calculated PXRD pattern in this record (λ = 1.5418 Å (Cu Kα)).
Neutral-atom scattering factors, no anomalous dispersion.

Structure:
Cell: 11.0205 6.8224 11.3487 Å, 90.00 110.51 90.00°
Space group C2/c (No. 15)
One atom of each set of equivalent atoms:
Y1 0.0000 0.0007 0.2500 [4 per cell]
Y2 0.1242 0.3276 0.5457 [8 per cell]
Y3 0.2255 0.1763 0.1370 [8 per cell]
Cd1 0.0000 0.4716 0.2500 [4 per cell]
Ni1 0.0000 0.0000 0.0000 [4 per cell]

Largest 8 diffraction maxima, by angle, 15° ≤ 2θ ≤ 90°:
hkl 3 1 -1, d = 3.233 Å, 27.6 deg, I = 35
hkl 2 2 -1, d = 2.892 Å, 30.9 deg, I = 64
hkl 2 2 0, d = 2.846 Å, 31.4 deg, I = 82
hkl 2 0 -4, d = 2.794 Å, 32.0 deg, I = 100
hkl 1 1 3, d = 2.777 Å, 32.2 deg, I = 52
hkl 2 2 -2, d = 2.736 Å, 32.7 deg, I = 54
hkl 4 0 -2, d = 2.727 Å, 32.8 deg, I = 47
hkl 0 2 4, d = 2.096 Å, 43.2 deg, I = 39

[8]
For Y11Cd9Ni4, the GGA-PBE geometry in Alexandria gives the calculated PXRD pattern in this record (λ = 1.5418 Å (Cu Kα)).
Neutral-atom scattering factors, no anomalous dispersion.

Structure:
Cell: 14.5438 21.8735 3.5823 Å, 90.00 90.00 90.00°
Space group Cmmm (No. 65)
One atom of each set of equivalent atoms:
Y1 0.0000 0.0000 0.0000 [2 per cell]
Y2 0.0000 0.1613 0.0000 [4 per cell]
Y3 0.0000 0.3732 0.0000 [4 per cell]
Y4 0.1903 0.5000 0.0000 [4 per cell]
Y5 0.2495 0.1675 0.0000 [8 per cell]
Cd1 0.0000 0.5000 0.5000 [2 per cell]
Cd2 0.1042 0.2624 0.5000 [8 per cell]
Cd3 0.1474 0.0707 0.5000 [8 per cell]
Ni1 0.1490 0.4004 0.5000 [8 per cell]

Largest 8 diffraction maxima, by angle, 15° ≤ 2θ ≤ 90°:
hkl 3 1 1, d = 2.856 Å, 31.3 deg, I = 21
hkl 4 6 0, d = 2.574 Å, 34.8 deg, I = 82
hkl 0 6 1, d = 2.556 Å, 35.1 deg, I = 100
hkl 4 0 1, d = 2.552 Å, 35.2 deg, I = 87
hkl 1 9 0, d = 2.397 Å, 37.5 deg, I = 21
hkl 6 2 0, d = 2.367 Å, 38.0 deg, I = 25
hkl 0 0 2, d = 1.791 Å, 51.0 deg, I = 27
hkl 4 6 2, d = 1.470 Å, 63.2 deg, I = 28

[9]
For Y6CdNi2, the GGA-PBE geometry in Alexandria gives the calculated PXRD pattern in this record (λ = 1.5418 Å (Cu Kα)).
Neutral-atom scattering factors, no anomalous dispersion.

Structure:
Cell: 9.3729 9.7334 10.1170 Å, 90.00 90.00 90.00°
Space group Immm (No. 71)
One atom of each set of equivalent atoms:
Y1 0.0000 0.2000 0.2348 [8 per cell]
Y2 0.1930 0.5000 0.1760 [8 per cell]
Y3 0.2109 0.3172 0.5000 [8 per cell]
Cd1 0.0000 0.0000 0.0000 [2 per cell]
Cd2 0.0000 0.0000 0.5000 [2 per cell]
Ni1 0.0000 0.3525 0.0000 [4 per cell]
Ni2 0.0000 0.5000 0.3798 [4 per cell]

Largest 8 diffraction maxima, by angle, 15° ≤ 2θ ≤ 90°:
hkl 3 1 0, d = 2.975 Å, 30.0 deg, I = 24
hkl 2 2 2, d = 2.808 Å, 31.9 deg, I = 100
hkl 2 1 3, d = 2.635 Å, 34.0 deg, I = 40
hkl 1 3 2, d = 2.622 Å, 34.2 deg, I = 69
hkl 2 3 1, d = 2.579 Å, 34.8 deg, I = 40
hkl 3 2 1, d = 2.545 Å, 35.3 deg, I = 22
hkl 4 0 0, d = 2.343 Å, 38.4 deg, I = 25
hkl 5 3 2, d = 1.545 Å, 59.8 deg, I = 29

[10]
For Zn8CdNi4, the GGA-PBE geometry in Alexandria gives the calculated PXRD pattern in this record (λ = 1.5418 Å (Cu Kα)).
Neutral-atom scattering factors, no anomalous dispersion.

Structure:
Cell: 8.4742 8.4742 5.1086 Å, 90.00 90.00 90.00°
Space group I4/mmm (No. 139)
One atom of each set of equivalent atoms:
Zn1 0.0000 0.2242 0.0000 [8 per cell]
Zn2 0.0000 0.3309 0.5000 [8 per cell]
Cd1 0.0000 0.0000 0.5000 [2 per cell]
Ni1 0.2500 0.2500 0.2500 [8 per cell]

Largest 8 diffraction maxima, by angle, 15° ≤ 2θ ≤ 90°:
hkl 0 0 2, d = 2.554 Å, 35.1 deg, I = 26
hkl 3 0 1, d = 2.472 Å, 36.3 deg, I = 55
hkl 2 0 2, d = 2.188 Å, 41.3 deg, I = 74
hkl 3 2 1, d = 2.135 Å, 42.3 deg, I = 100
hkl 4 0 0, d = 2.119 Å, 42.7 deg, I = 83
hkl 2 2 2, d = 1.944 Å, 46.7 deg, I = 81
hkl 6 0 2, d = 1.236 Å, 77.2 deg, I = 27
hkl 6 3 1, d = 1.226 Å, 77.9 deg, I = 30

[11]
For NpCd6O12, the GGA-PBE geometry in Alexandria gives the calculated PXRD pattern in this record (λ = 1.5418 Å (Cu Kα)).
Neutral-atom scattering factors, no anomalous dispersion.

Structure:
Cell: 10.0274 10.0274 9.3274 Å, 90.00 90.00 120.00°
Space group R-3 (No. 148, hexagonal axes)
One atom of each set of equivalent atoms:
Np1 0.0000 0.0000 0.0000 [3 per cell]
Cd1 0.0345 0.2460 0.6449 [18 per cell]
O1 0.0215 0.2248 0.4005 [18 per cell]
O2 0.0276 0.1788 0.8808 [18 per cell]

Largest 8 diffraction maxima, by angle, 15° ≤ 2θ ≤ 90°:
hkl 0 1 2, d = 4.109 Å, 21.6 deg, I = 11
hkl 0 2 1, d = 3.936 Å, 22.6 deg, I = 12
hkl 0 0 3, d = 3.109 Å, 28.7 deg, I = 28
hkl 2 1 1, d = 3.096 Å, 28.8 deg, I = 100
hkl 3 -2 2, d = 2.684 Å, 33.4 deg, I = 41
hkl 2 1 4, d = 1.901 Å, 47.9 deg, I = 27
hkl 1 4 0, d = 1.895 Å, 48.0 deg, I = 29
hkl 1 4 3, d = 1.617 Å, 56.9 deg, I = 38